1.
Diffraction record for PuCuPb. The XRD peak list is calculated, not measured: it uses a structure optimized by DFT (GGA-PBE) and copper Kα.

Structure:
```
data_PuCuPb
_cell_length_a 3.367
_cell_length_b 3.367
_cell_length_c 12.193
_cell_angle_alpha 90.00
_cell_angle_beta 90.00
_cell_angle_gamma 90.00
_space_group_name_H-M_alt 'I 4 m m'
_space_group_IT_number 107
_space_group_name_Hall 'I 4 -2'
loop_
_atom_site_label
_atom_site_type_symbol
_atom_site_fract_x
_atom_site_fract_y
_atom_site_fract_z
Pu1 Pu 0.000 0.000 0.000
Cu1 Cu 0.000 0.000 0.650
Pb1 Pb 0.000 0.000 0.292
```

Top 8 peaks for 2θ from 15° to 90°, in order of falling intensity:
| 2θ (°) | Rel. int. |
| --- | --- |
| 34.60 | 100.0 |
| 37.79 | 45.0 |
| 66.19 | 31.1 |
| 27.48 | 30.8 |
| 59.81 | 26.6 |
| 48.52 | 16.9 |
| 29.30 | 16.0 |
| 54.51 | 15.8 |

=====

2.
Diffraction record for Pm6GeTe12. The XRD peak list is calculated, not measured: it uses a structure optimized by DFT (GGA-PBE) and copper Kα.

Structure:
```
data_Pm6GeTe12
_cell_length_a 13.4879
_cell_length_b 13.4879
_cell_length_c 12.7825
_cell_angle_alpha 90.00
_cell_angle_beta 90.00
_cell_angle_gamma 120.00
_space_group_name_H-M_alt 'R -3'
_space_group_IT_number 148
_space_group_name_Hall '-R 3'
loop_
_atom_site_label
_atom_site_type_symbol
_atom_site_fract_x
_atom_site_fract_y
_atom_site_fract_z
Pm1 Pm 0.0481 0.7694 0.1361
Ge1 Ge 0.0000 0.0000 0.5000
Te1 Te 0.0340 0.8235 0.8942
Te2 Te 0.0757 0.8650 0.3814
```

Top 8 peaks for 2θ from 15° to 90°, in order of falling intensity:
| 2θ (°) | Rel. int. |
| --- | --- |
| 34.65 | 100.0 |
| 35.21 | 93.3 |
| 21.29 | 90.5 |
| 30.95 | 76.0 |
| 28.97 | 51.4 |
| 63.98 | 39.4 |
| 28.42 | 37.2 |
| 36.35 | 29.9 |

=====

3.
Diffraction record for KCd4Ag4. The XRD peak list is calculated, not measured: it uses a structure optimized by DFT (GGA-PBE) and copper Kα.

Structure:
```
data_KCd4Ag4
_cell_length_a 6.408
_cell_length_b 6.408
_cell_length_c 10.307
_cell_angle_alpha 90.00
_cell_angle_beta 90.00
_cell_angle_gamma 90.00
_space_group_name_H-M_alt 'P 42/n m c'
_space_group_IT_number 137
loop_
_space_group_symop_operation_xyz
'x,y,z'
'-x,-y,-z'
'-y+1/2,x,z+1/2'
'y+1/2,-x,-z+1/2'
'-x+1/2,-y+1/2,z'
'x+1/2,y+1/2,-z'
'y,-x+1/2,z+1/2'
'-y,x+1/2,-z+1/2'
'x+1/2,-y,-z'
'-x+1/2,y,z'
'-y,-x,-z+1/2'
'y,x,z+1/2'
'-x,y+1/2,-z'
'x,-y+1/2,z'
'y+1/2,x+1/2,-z+1/2'
'-y+1/2,-x+1/2,z+1/2'
loop_
_atom_site_label
_atom_site_type_symbol
_atom_site_fract_x
_atom_site_fract_y
_atom_site_fract_z
K1 K 0.250 0.750 0.250
Cd1 Cd 0.026 0.250 0.039
Ag1 Ag 0.028 0.250 0.325
```

Top 8 peaks for 2θ from 15° to 90°, in order of falling intensity:
| 2θ (°) | Rel. int. |
| --- | --- |
| 38.42 | 100.0 |
| 32.43 | 58.5 |
| 39.79 | 52.0 |
| 16.29 | 42.3 |
| 37.63 | 40.7 |
| 63.60 | 24.3 |
| 71.32 | 23.4 |
| 29.19 | 20.1 |

=====

What is the formula in the second record? Pm6GeTe12